The following is a computed powder XRD pattern of Nb3Co2Si. It was derived from DFT lattice parameters and positions (GGA-PBE), using copper Kα.
Intensities are scaled so that the largest is 100.

a = 7.8845 Å, b = 7.8845 Å, c = 7.8845 Å
α = 60.00°, β = 60.00°, γ = 60.00°
Sites, in units of the cell vectors:
Nb (0.0760, 0.0760, 0.6740)
Nb (0.0760, 0.6740, 0.0760)
Nb (0.0760, 0.6740, 0.6740)
Nb (0.3260, 0.3260, 0.9240)
Nb (0.3260, 0.9240, 0.3260)
Nb (0.3260, 0.9240, 0.9240)
Nb (0.6740, 0.0760, 0.0760)
Nb (0.6740, 0.0760, 0.6740)
Nb (0.6740, 0.6740, 0.0760)
Nb (0.9240, 0.3260, 0.3260)
Nb (0.9240, 0.3260, 0.9240)
Nb (0.9240, 0.9240, 0.3260)
Co (0.2924, 0.2924, 0.2924)
Co (0.2924, 0.2924, 0.6227)
Co (0.2924, 0.6227, 0.2924)
Co (0.3773, 0.7076, 0.7076)
Co (0.6227, 0.2924, 0.2924)
Co (0.7076, 0.3773, 0.7076)
Co (0.7076, 0.7076, 0.3773)
Co (0.7076, 0.7076, 0.7076)
Si (0.0000, 0.5000, 0.5000)
Si (0.5000, 0.0000, 0.5000)
Si (0.5000, 0.5000, 0.0000)
Si (0.5000, 0.5000, 0.5000)

Largest 10 diffraction maxima, sorted by position, 2θ from 15° to 90°:
two_theta  d/Å  I/Imax
32.11  2.788  18
35.08  2.558  10
39.60  2.276  43
42.11  2.146  100
46.05  1.971  33
64.15  1.452  12
68.93  1.362  8
71.84  1.314  35
73.56  1.288  9
86.93  1.121  16

=====

The following is a computed powder XRD pattern of CsBaPm. It was derived from DFT lattice parameters and positions (GGA-PBE), using copper Kα.
Intensities are scaled so that the largest is 100.

a = 6.7063 Å, b = 6.7063 Å, c = 6.7063 Å
α = 60.00°, β = 60.00°, γ = 60.00°
Sites, in units of the cell vectors:
Cs (0.0000, 0.0000, 0.0000)
Ba (0.5000, 0.5000, 0.5000)
Pm (0.7500, 0.7500, 0.7500)

Largest 10 diffraction maxima, sorted by position, 2θ from 15° to 90°:
two_theta  d/Å  I/Imax
16.19  5.476  28
18.71  4.742  9
26.58  3.353  100
31.28  2.860  17
37.95  2.371  19
46.93  1.936  42
54.75  1.677  13
61.87  1.500  18
74.93  1.267  21
87.22  1.118  11

=====

The following is a computed powder XRD pattern of Li6Hf4O11. It was derived from DFT lattice parameters and positions (GGA-PBE), using copper Kα.
Intensities are scaled so that the largest is 100.

a = 5.2995 Å, b = 5.3491 Å, c = 9.4254 Å
α = 82.06°, β = 77.14°, γ = 77.15°
Sites, in units of the cell vectors:
Li (0.0000, 0.0000, 0.0000)
Li (0.0104, 0.4580, 0.0927)
Li (0.3295, 0.3332, 0.7458)
Li (0.5674, 0.9198, 0.5593)
Li (0.6896, 0.4886, 0.3965)
Li (0.8105, 0.9842, 0.2887)
Hf (0.2375, 0.2019, 0.3496)
Hf (0.3846, 0.7123, 0.1869)
Hf (0.6565, 0.6631, 0.8679)
Hf (0.8839, 0.2309, 0.6598)
O (0.0499, 0.5699, 0.2893)
O (0.1459, 0.0762, 0.1686)
O (0.2657, 0.2254, 0.5665)
O (0.3072, 0.6409, 0.9808)
O (0.4816, 0.8412, 0.3594)
O (0.5654, 0.3463, 0.2481)
O (0.6239, 0.5554, 0.6601)
O (0.6315, 0.0121, 0.7640)
O (0.7386, 0.7700, 0.0444)
O (0.8670, 0.1233, 0.4659)
O (0.9553, 0.3353, 0.8540)

Largest 10 diffraction maxima, sorted by position, 2θ from 15° to 90°:
two_theta  d/Å  I/Imax
18.26  4.858  100
18.85  4.708  23
20.44  4.345  41
21.95  4.049  31
32.64  2.744  23
32.76  2.734  19
34.54  2.597  35
39.90  2.259  17
40.56  2.224  22
43.28  2.091  17

=====

The following is a computed powder XRD pattern of BaSbAsAu2. It was derived from DFT lattice parameters and positions (GGA-PBE), using copper Kα.
Intensities are scaled so that the largest is 100.

a = 4.9340 Å, b = 4.7931 Å, c = 10.7296 Å
α = 90.00°, β = 91.63°, γ = 90.00°
Sites, in units of the cell vectors:
Ba (0.2357, 0.2500, 0.2631)
Ba (0.7643, 0.7500, 0.7369)
Sb (0.3039, 0.2500, 0.8695)
Sb (0.6961, 0.7500, 0.1305)
As (0.2518, 0.7500, 0.4986)
As (0.7482, 0.2500, 0.5014)
Au (0.1898, 0.7500, 0.9994)
Au (0.2527, 0.2500, 0.6096)
Au (0.7473, 0.7500, 0.3904)
Au (0.8102, 0.2500, 0.0006)

Largest 10 diffraction maxima, sorted by position, 2θ from 15° to 90°:
two_theta  d/Å  I/Imax
16.53  5.363  27
27.08  3.292  31
30.61  2.920  66
31.20  2.867  100
31.32  2.856  46
36.43  2.466  55
37.53  2.397  65
42.33  2.135  36
43.20  2.094  32
53.30  1.719  38

=====

The following is a computed powder XRD pattern of Sm2Y2BBrCl4. It was derived from DFT lattice parameters and positions (GGA-PBE), using copper Kα.
Intensities are scaled so that the largest is 100.

a = 8.9883 Å, b = 8.9883 Å, c = 8.1464 Å
α = 104.26°, β = 104.26°, γ = 25.07°
Sites, in units of the cell vectors:
Sm (0.1495, 0.1495, 0.0870)
Sm (0.8505, 0.8505, 0.9130)
Y (0.4995, 0.4995, 0.2090)
Y (0.5005, 0.5005, 0.7910)
B (0.0000, 0.0000, 0.0000)
Br (0.0000, 0.0000, 0.5000)
Cl (0.3318, 0.3318, 0.1546)
Cl (0.3369, 0.3369, 0.6629)
Cl (0.6631, 0.6631, 0.3371)
Cl (0.6682, 0.6682, 0.8454)

Largest 10 diffraction maxima, sorted by position, 2θ from 15° to 90°:
two_theta  d/Å  I/Imax
17.17  5.164  32
21.12  4.207  30
28.46  3.136  28
31.58  2.833  81
31.76  2.817  100
40.57  2.223  17
44.48  2.037  20
45.08  2.011  28
45.77  1.982  31
46.55  1.951  18

=====

Copy entry 3 word for word.
The following is a computed powder XRD pattern of Li6Hf4O11. It was derived from DFT lattice parameters and positions (GGA-PBE), using copper Kα.
Intensities are scaled so that the largest is 100.

a = 5.2995 Å, b = 5.3491 Å, c = 9.4254 Å
α = 82.06°, β = 77.14°, γ = 77.15°
Sites, in units of the cell vectors:
Li (0.0000, 0.0000, 0.0000)
Li (0.0104, 0.4580, 0.0927)
Li (0.3295, 0.3332, 0.7458)
Li (0.5674, 0.9198, 0.5593)
Li (0.6896, 0.4886, 0.3965)
Li (0.8105, 0.9842, 0.2887)
Hf (0.2375, 0.2019, 0.3496)
Hf (0.3846, 0.7123, 0.1869)
Hf (0.6565, 0.6631, 0.8679)
Hf (0.8839, 0.2309, 0.6598)
O (0.0499, 0.5699, 0.2893)
O (0.1459, 0.0762, 0.1686)
O (0.2657, 0.2254, 0.5665)
O (0.3072, 0.6409, 0.9808)
O (0.4816, 0.8412, 0.3594)
O (0.5654, 0.3463, 0.2481)
O (0.6239, 0.5554, 0.6601)
O (0.6315, 0.0121, 0.7640)
O (0.7386, 0.7700, 0.0444)
O (0.8670, 0.1233, 0.4659)
O (0.9553, 0.3353, 0.8540)

Largest 10 diffraction maxima, sorted by position, 2θ from 15° to 90°:
two_theta  d/Å  I/Imax
18.26  4.858  100
18.85  4.708  23
20.44  4.345  41
21.95  4.049  31
32.64  2.744  23
32.76  2.734  19
34.54  2.597  35
39.90  2.259  17
40.56  2.224  22
43.28  2.091  17